(1)
# NdEr2PaP4
Computed powder XRD pattern, Cu Kα (weighted mean of Kα1 and Kα2). Input: a structure optimized by DFT (PBE).
Lines closer than 0.1° are merged.

Structural model:
```
8
Lattice="6.912 0.000 0.000 0.000 4.018 0.000 -2.324 0.000 6.568" Properties=species:S:1:pos:R:3 pbc="T T T"
Nd 0.000 0.000 0.000
Er 2.294 0.000 3.284
Er 3.456 2.009 0.000
Pa -1.162 2.009 3.284
P 0.014 0.000 4.883
P 1.158 2.009 1.718
P 3.430 2.009 4.850
P 4.573 0.000 1.685
```

Main lines, by angle (2θ from 10° to 90°):
Position (°2θ)  d [Å]  Rel. int.
27.2  3.280  70.5
27.4  3.258  23.1
31.6  2.836  100.0
45.1  2.010  37.0
45.3  2.000  36.5
53.5  1.713  19.4
53.6  1.710  15.4
74.7  1.271  16.7

(2)
# Nd2ErScP4
Computed powder XRD pattern, Cu Kα (weighted mean of Kα1 and Kα2). Input: a structure optimized by DFT (PBE).
Lines closer than 0.1° are merged.

Structural model:
```
8
Lattice="6.949 0.000 0.000 0.000 4.027 0.000 -2.328 0.000 6.566" Properties=species:S:1:pos:R:3 pbc="T T T"
Nd 0.000 0.000 0.000
Nd -1.164 2.013 3.283
Er 2.311 0.000 3.283
Sc 3.475 2.013 0.000
P 1.269 2.013 1.642
P 0.103 0.000 5.004
P 4.518 0.000 1.562
P 3.353 2.013 4.924
```

Main lines, by angle (2θ from 10° to 90°):
Position (°2θ)  d [Å]  Rel. int.
27.2  3.282  70.1
31.5  2.843  100.0
45.1  2.012  36.4
45.2  2.008  35.5
53.4  1.715  25.6
56.0  1.642  18.8
74.6  1.272  16.0
74.7  1.270  15.4

(3)
# Nd3Er2Pb4
Computed powder XRD pattern, Cu Kα (weighted mean of Kα1 and Kα2). Input: a structure optimized by DFT (PBE).
Lines closer than 0.1° are merged.

Structural model:
```
9
Lattice="8.238 -2.561 0.000 8.238 2.561 0.000 -1.840 0.000 6.679" Properties=species:S:1:pos:R:3 pbc="T T T"
Nd 0.000 0.000 0.000
Nd 0.897 0.000 3.883
Nd 13.739 0.000 2.796
Er 3.789 0.000 6.186
Er 10.848 0.000 0.493
Pb 3.483 0.000 1.855
Pb 6.809 0.000 4.782
Pb 7.827 0.000 1.898
Pb 11.153 0.000 4.824
```

Main lines, by angle (2θ from 10° to 90°):
Position (°2θ)  d [Å]  Rel. int.
29.8  2.998  100.0
30.0  2.975  33.9
32.7  2.738  52.3
32.9  2.724  47.5
33.7  2.656  22.6
35.0  2.561  52.1
43.3  2.091  21.0
46.8  1.941  20.5

(4)
# NdEr3Pb2
Computed powder XRD pattern, Cu Kα (weighted mean of Kα1 and Kα2). Input: a structure optimized by DFT (PBE).
Lines closer than 0.1° are merged.

Structural model:
```
6
Lattice="4.562 0.000 0.000 0.000 4.562 0.000 0.000 0.000 8.598" Properties=species:S:1:pos:R:3 pbc="T T T"
Nd 0.000 0.000 0.000
Er 0.000 2.281 2.941
Er 2.281 0.000 5.657
Er 2.281 2.281 0.000
Pb 0.000 2.281 6.099
Pb 2.281 0.000 2.499
```

Main lines, by angle (2θ from 10° to 90°):
Position (°2θ)  d [Å]  Rel. int.
27.7  3.226  25.9
29.6  3.020  84.2
31.2  2.866  43.9
34.8  2.580  100.0
39.5  2.281  60.9
51.2  1.785  44.6
57.1  1.613  21.0
68.6  1.368  34.4

(5)
# Nd7Er12Pb
Computed powder XRD pattern, Cu Kα (weighted mean of Kα1 and Kα2). Input: a structure optimized by DFT (PBE).
Lines closer than 0.1° are merged.

Structural model:
```
20
Lattice="6.587 0.000 0.000 1.389 8.795 0.000 1.914 3.025 11.155" Properties=species:S:1:pos:R:3 pbc="T T T"
Nd 0.000 0.000 0.000
Nd 2.003 2.395 4.674
Nd 1.976 2.527 1.231
Nd 3.673 5.058 2.990
Nd 6.217 6.762 8.165
Nd 7.913 9.293 9.924
Nd 7.887 9.425 6.481
Er 2.087 8.199 3.407
Er 2.959 6.344 8.779
Er 4.648 8.625 10.944
Er 4.723 9.904 7.772
Er 5.052 3.720 9.615
Er 5.144 7.713 4.956
Er 4.745 4.107 6.199
Er 4.838 8.101 1.540
Er 5.167 1.916 3.383
Er 5.242 3.195 0.211
Er 6.930 5.476 2.376
Er 7.803 3.621 7.748
Pb 1.651 5.910 5.578
```

Main lines, by angle (2θ from 10° to 90°):
Position (°2θ)  d [Å]  Rel. int.
31.0  2.882  18.4
31.5  2.838  100.0
31.6  2.829  16.0
31.8  2.816  33.8
32.0  2.796  58.3
32.7  2.742  49.8
32.9  2.719  45.7
33.0  2.711  15.1

(6)
# Nd3ErPb2
Computed powder XRD pattern, Cu Kα (weighted mean of Kα1 and Kα2). Input: a structure optimized by DFT (PBE).
Lines closer than 0.1° are merged.

Structural model:
```
6
Lattice="4.666 0.000 0.000 0.000 4.666 0.000 0.000 0.000 8.843" Properties=species:S:1:pos:R:3 pbc="T T T"
Nd 0.000 0.000 0.000
Nd 0.000 2.333 5.789
Nd 2.333 0.000 3.055
Er 2.333 2.333 0.000
Pb 0.000 2.333 2.484
Pb 2.333 0.000 6.360
```

Main lines, by angle (2θ from 10° to 90°):
Position (°2θ)  d [Å]  Rel. int.
27.0  3.299  21.3
28.9  3.091  73.3
30.3  2.948  35.4
33.9  2.644  100.0
36.0  2.492  22.5
38.6  2.333  56.9
49.8  1.829  35.9
66.8  1.400  28.6